# W3O8
Calculated powder diffractogram, Cu Kα X-rays. Input: a structure optimized by DFT (PBE+U).
Kinematic intensities with the Lorentz-polarization factor, no thermal factor.

Atomic structure:
a b c (Å): 6.511 10.670 3.859
angles (deg): 90.00 90.00 90.00
Space group Cmmm (No. 65)
One atom of each set of equivalent atoms:
W  0.000  0.000  0.000
W  0.000  0.316  0.000
O  0.000  0.000  0.500
O  0.000  0.312  0.500
O  0.000  0.500  0.000
O  0.185  0.152  0.000

Top 8 peaks for 15 to 90 degrees two-theta, low angle first:
| 2θ/deg | I/Imax |
| --- | --- |
| 23.0 | 100 |
| 27.4 | 62 |
| 28.6 | 99 |
| 36.1 | 41 |
| 37.0 | 67 |
| 49.2 | 29 |
| 55.0 | 31 |
| 56.0 | 30 |